Calculated powder XRD pattern of YEr5Th3 for copper Kα, from a cell relaxed with GGA-PBE.
Lines closer than 0.1° are merged.

Cell and atoms:
```
data_YEr5Th3
_chemical_formula_sum 'Y4 Er20 Th12'
_symmetry_space_group_name_H-M 'C 1 2/m 1'
_symmetry_Int_Tables_number 12
_cell_length_a 12.436
_cell_length_b 8.173
_cell_length_c 12.354
_cell_angle_alpha 90.00
_cell_angle_beta 96.39
_cell_angle_gamma 90.00
loop_
_symmetry_equiv_pos_as_xyz
'x,y,z'
'-x,-y,-z'
'-x,y,-z'
'x,-y,z'
'x+1/2,y+1/2,z'
'-x+1/2,-y+1/2,-z'
'-x+1/2,y+1/2,-z'
'x+1/2,-y+1/2,z'
loop_
_atom_site_label
_atom_site_fract_x
_atom_site_fract_y
_atom_site_fract_z
Y1 0.141 0.000 0.268
Er1 0.000 0.329 0.000
Er2 0.057 0.500 0.620
Er3 0.133 0.195 0.777
Er4 0.243 0.500 0.978
Th1 0.000 0.000 0.000
Th2 0.000 0.000 0.500
Th3 0.121 0.500 0.216
Th4 0.239 0.500 0.452
```

Principal peaks in the range 2θ = 10–80°, in order of rising 2θ:
index	Position (°2θ)	I (rel.)
0 2 0	21.7	54.2
2 2 1	27.6	41.8
0 0 4	29.1	42.0
3 1 2	29.5	38.5
4 0 -2	30.9	100.0
1 1 -4	31.2	48.5
4 0 2	33.9	36.9
1 3 -2	36.5	46.3